Li4Ti3Cr3W2O16: calculated powder X-ray diffraction pattern (Cu Kα, 1.54184 Å), based on the GGA+U geometry in Alexandria.
Kinematic intensities with the Lorentz-polarization factor, no thermal factor.

Cell and atoms:
```
28
Lattice="5.177 -2.976 0.000 5.177 2.976 0.000 -0.206 0.000 9.837" Properties=species:S:1:pos:R:3 pbc="T T T"
Li 0.000 0.000 0.000
Li -0.076 0.000 4.900
Li 3.438 0.000 0.931
Li 6.764 0.000 5.811
Ti 4.116 1.482 7.645
Ti 4.116 -1.482 7.645
Ti 8.541 0.000 2.741
Cr 1.596 0.000 7.680
Cr 5.977 1.460 2.745
Cr 5.977 -1.460 2.745
W 3.319 0.000 4.957
W 6.860 0.000 0.071
O -0.140 0.000 6.716
O 2.555 1.332 6.440
O 4.227 1.533 3.834
O 1.598 0.000 3.876
O 5.821 1.523 8.791
O 3.317 0.000 8.730
O 4.839 0.000 6.409
O 2.555 -1.332 6.440
O 5.308 0.000 1.531
O 7.625 1.315 1.511
O 6.879 0.000 3.791
O 4.227 -1.533 3.834
O 8.464 0.000 8.726
O 5.821 -1.523 8.791
O 7.625 -1.315 1.511
O 10.259 0.000 1.805
```

Most intense lines, 2θ = 10–90°, sorted by position:
two_theta	I_rel
19.21	33
19.34	64
19.52	100
25.18	26
29.96	27
32.19	23
32.51	22
34.87	32
35.25	31
35.46	31
36.08	22
62.20	21